No. 1
Starting from a structure optimized by DFT (PBE), the powder X-ray diffraction pattern of Tl4ReS4 was computed for CuKα.
Intensities are scaled so that the largest is 100.

Structural model:
abc: 8.611 8.611 7.579
angles: 105.07 105.07 84.39
Atoms (fractional coordinates):
Tl  0.013  0.987  0.500
Tl  0.179  0.406  0.396
Tl  0.394  0.788  0.489
Tl  0.406  0.179  0.896
Tl  0.544  0.797  0.033
Tl  0.788  0.394  0.989
Tl  0.797  0.544  0.533
Tl  0.987  0.013  0.000
Re  0.161  0.580  0.953
Re  0.580  0.161  0.453
S  0.043  0.355  0.761
S  0.169  0.732  0.759
S  0.355  0.043  0.261
S  0.398  0.517  0.134
S  0.517  0.398  0.634
S  0.702  0.982  0.614
S  0.732  0.169  0.259
S  0.982  0.702  0.114

Main lines, in order of rising 2θ (5° ≤ 2θ ≤ 70°):
| Position (°2θ) | I (rel.) |
| --- | --- |
| 23.63 | 83 |
| 24.26 | 99 |
| 25.09 | 96 |
| 28.26 | 73 |
| 28.56 | 68 |
| 30.34 | 72 |
| 32.12 | 50 |
| 33.17 | 100 |

---

No. 2
Starting from a structure optimized by DFT (PBE), the powder X-ray diffraction pattern of Sc3Ni2 was computed for CuKα.
Intensities are scaled so that the largest is 100.

Structural model:
abc: 6.760 6.760 6.760
angles: 71.98 71.98 71.98
Atoms (fractional coordinates):
Sc  0.000  0.000  0.000
Sc  0.169  0.656  0.396
Sc  0.208  0.208  0.208
Sc  0.344  0.604  0.831
Sc  0.396  0.169  0.656
Sc  0.604  0.831  0.344
Sc  0.656  0.396  0.169
Sc  0.792  0.792  0.792
Sc  0.831  0.344  0.604
Ni  0.044  0.413  0.846
Ni  0.154  0.956  0.587
Ni  0.413  0.846  0.044
Ni  0.587  0.154  0.956
Ni  0.846  0.044  0.413
Ni  0.956  0.587  0.154

Main lines, in order of rising 2θ (5° ≤ 2θ ≤ 70°):
| Position (°2θ) | I (rel.) |
| --- | --- |
| 14.18 | 26 |
| 22.38 | 19 |
| 35.03 | 35 |
| 36.18 | 36 |
| 36.60 | 100 |
| 39.28 | 51 |
| 42.39 | 67 |
| 42.96 | 58 |

---

No. 3
Starting from a structure optimized by DFT (PBE), the powder X-ray diffraction pattern of RbZnCl3 was computed for CuKα.
Intensities are scaled so that the largest is 100.

Structural model:
abc: 7.045 5.965 8.570
angles: 90.00 111.50 90.00
Atoms (fractional coordinates):
Rb  0.048  0.000  0.252
Rb  0.952  0.500  0.748
Zn  0.486  0.074  0.855
Zn  0.514  0.574  0.145
Cl  0.184  0.988  0.661
Cl  0.215  0.497  0.170
Cl  0.489  0.472  0.874
Cl  0.511  0.972  0.126
Cl  0.785  0.997  0.830
Cl  0.816  0.488  0.339

Main lines, in order of rising 2θ (5° ≤ 2θ ≤ 70°):
| Position (°2θ) | I (rel.) |
| --- | --- |
| 11.10 | 46 |
| 20.46 | 100 |
| 22.30 | 41 |
| 25.33 | 32 |
| 29.47 | 32 |
| 29.96 | 55 |
| 34.83 | 38 |
| 52.69 | 19 |

---

No. 4
Starting from a structure optimized by DFT (PBE), the powder X-ray diffraction pattern of DyTmLu2In2 was computed for CuKα.
Intensities are scaled so that the largest is 100.

Structural model:
abc: 5.290 5.290 6.634
angles: 90.00 90.00 120.00
Atoms (fractional coordinates):
Dy  0.000  0.000  0.000
Tm  0.667  0.333  0.500
Lu  0.333  0.667  0.252
Lu  0.333  0.667  0.748
In  0.000  0.000  0.500
In  0.667  0.333  0.000

Main lines, in order of rising 2θ (5° ≤ 2θ ≤ 70°):
| Position (°2θ) | I (rel.) |
| --- | --- |
| 33.35 | 100 |
| 33.89 | 100 |
| 43.77 | 5 |
| 48.28 | 35 |
| 55.40 | 8 |
| 60.29 | 36 |
| 60.63 | 19 |
| 66.55 | 28 |

---

No. 5
Starting from a structure optimized by DFT (PBE), the powder X-ray diffraction pattern of AlCdInO4 was computed for CuKα.
Intensities are scaled so that the largest is 100.

Structural model:
abc: 6.237 6.237 8.679
angles: 90.00 90.00 90.00
Atoms (fractional coordinates):
Al  0.000  0.226  0.000
Al  0.000  0.774  0.500
Al  0.226  0.000  0.750
Al  0.774  0.000  0.250
Cd  0.256  0.256  0.375
Cd  0.256  0.744  0.125
Cd  0.744  0.256  0.625
Cd  0.744  0.744  0.875
In  0.225  0.500  0.750
In  0.500  0.225  0.000
In  0.500  0.775  0.500
In  0.775  0.500  0.250
O  0.016  0.223  0.778
O  0.016  0.777  0.722
O  0.223  0.016  0.972
O  0.223  0.984  0.528
O  0.225  0.443  0.000
O  0.225  0.557  0.500
O  0.443  0.225  0.750
O  0.443  0.775  0.750
O  0.557  0.225  0.250
O  0.557  0.775  0.250
O  0.775  0.443  0.000
O  0.775  0.557  0.500
O  0.777  0.016  0.028
O  0.777  0.984  0.472
O  0.984  0.223  0.222
O  0.984  0.777  0.278

Main lines, in order of rising 2θ (5° ≤ 2θ ≤ 70°):
| Position (°2θ) | I (rel.) |
| --- | --- |
| 28.62 | 23 |
| 28.86 | 46 |
| 33.75 | 100 |
| 34.16 | 50 |
| 50.85 | 19 |
| 54.05 | 30 |
| 59.26 | 17 |
| 59.79 | 35 |

---

No. 6
Starting from a structure optimized by DFT (PBE), the powder X-ray diffraction pattern of CsNa3Zn2Sn2 was computed for CuKα.
Intensities are scaled so that the largest is 100.

Structural model:
abc: 6.276 5.813 7.265
angles: 90.00 107.09 90.00
Atoms (fractional coordinates):
Cs  0.000  0.000  0.000
Na  0.277  0.500  0.339
Na  0.635  0.000  0.346
Na  0.919  0.500  0.608
Zn  0.434  0.258  0.829
Zn  0.434  0.742  0.829
Sn  0.208  0.000  0.537
Sn  0.671  0.500  0.122

Main lines, in order of rising 2θ (5° ≤ 2θ ≤ 70°):
| Position (°2θ) | I (rel.) |
| --- | --- |
| 16.45 | 61 |
| 21.28 | 83 |
| 28.75 | 49 |
| 29.94 | 100 |
| 32.69 | 43 |
| 33.41 | 45 |
| 38.29 | 47 |
| 40.47 | 63 |